1.
Structure and simulated PXRD pattern of Ba4Nb3O12 (a PBE-relaxed structure; Cu Kα (λ = 1.5418 Å)).
Neutral-atom scattering factors, no anomalous dispersion.

Main lines, sorted by position (5° ≤ 2θ ≤ 70°):
- 25.23°, I 36
- 28.79°, I 78
- 30.21°, I 100
- 32.66°, I 15
- 39.75°, I 17
- 42.22°, I 44
- 50.11°, I 14
- 52.79°, I 29
- 53.65°, I 20
- 62.82°, I 20

Atomic structure:
abc: 5.9174 5.9174 19.4731
angles: 90.00 90.00 120.00
Fractional coordinates of all 38 atoms:
Ba 0.0000 0.0000 0.0000
Ba 0.0000 0.0000 0.5000
Ba 0.3333 0.6667 0.1373
Ba 0.3333 0.6667 0.3621
Ba 0.3333 0.6667 0.7371
Ba 0.6667 0.3333 0.2371
Ba 0.6667 0.3333 0.6373
Ba 0.6667 0.3333 0.8621
Nb 0.0000 0.0000 0.2950
Nb 0.0000 0.0000 0.7950
Nb 0.3333 0.6667 0.5570
Nb 0.3333 0.6667 0.9284
Nb 0.6667 0.3333 0.0570
Nb 0.6667 0.3333 0.4284
O 0.0047 0.5024 0.9853
O 0.1635 0.3269 0.2505
O 0.1635 0.8365 0.2505
O 0.1699 0.3398 0.8683
O 0.1699 0.8301 0.8683
O 0.1759 0.3518 0.6070
O 0.1759 0.8241 0.6070
O 0.3269 0.1635 0.7505
O 0.3398 0.1699 0.3683
O 0.3518 0.1759 0.1070
O 0.4976 0.5024 0.9853
O 0.4976 0.9953 0.9853
O 0.5024 0.0047 0.4853
O 0.5024 0.4976 0.4853
O 0.6482 0.8241 0.6070
O 0.6602 0.8301 0.8683
O 0.6731 0.8365 0.2505
O 0.8241 0.1759 0.1070
O 0.8241 0.6482 0.1070
O 0.8301 0.1699 0.3683
O 0.8301 0.6602 0.3683
O 0.8365 0.1635 0.7505
O 0.8365 0.6731 0.7505
O 0.9953 0.4976 0.4853


2.
Structure and simulated PXRD pattern of Ba5Nb4O15 (a PBE-relaxed structure; Cu Kα (λ = 1.5418 Å)).
Neutral-atom scattering factors, no anomalous dispersion.

Main lines, sorted by position (5° ≤ 2θ ≤ 70°):
- 28.35°, I 100
- 30.36°, I 84
- 38.36°, I 8
- 42.02°, I 53
- 48.91°, I 20
- 52.72°, I 35
- 53.95°, I 17
- 58.66°, I 13
- 63.17°, I 17
- 67.49°, I 16

Atomic structure:
abc: 5.8876 5.8876 12.0028
angles: 90.00 90.00 120.00
Fractional coordinates of all 24 atoms:
Ba 0.0000 0.0000 0.0000
Ba 0.3333 0.6667 0.4291
Ba 0.3333 0.6667 0.7917
Ba 0.6667 0.3333 0.2083
Ba 0.6667 0.3333 0.5709
Nb 0.0000 0.0000 0.3166
Nb 0.0000 0.0000 0.6834
Nb 0.3333 0.6667 0.1050
Nb 0.6667 0.3333 0.8950
O 0.0000 0.5000 0.0000
O 0.1638 0.3276 0.6127
O 0.1638 0.8362 0.6127
O 0.1693 0.3386 0.1918
O 0.1693 0.8307 0.1918
O 0.3276 0.1638 0.3873
O 0.3386 0.1693 0.8082
O 0.5000 0.0000 0.0000
O 0.5000 0.5000 0.0000
O 0.6614 0.8307 0.1918
O 0.6724 0.8362 0.6127
O 0.8307 0.1693 0.8082
O 0.8307 0.6614 0.8082
O 0.8362 0.1638 0.3873
O 0.8362 0.6724 0.3873


3.
Structure and simulated PXRD pattern of BaNb4O14 (a PBE-relaxed structure; Cu Kα (λ = 1.5418 Å)).
Neutral-atom scattering factors, no anomalous dispersion.

Main lines, sorted by position (5° ≤ 2θ ≤ 70°):
- 14.32°, I 100
- 16.50°, I 19
- 27.48°, I 58
- 28.73°, I 88
- 28.92°, I 37
- 33.35°, I 32
- 47.76°, I 31
- 48.01°, I 25
- 50.13°, I 15
- 56.80°, I 31

Atomic structure:
abc: 7.5808 7.5808 7.5808
angles: 60.32 60.32 60.32
Fractional coordinates of all 19 atoms:
Ba 0.0000 0.0000 0.0000
Nb 0.0000 0.5000 0.5000
Nb 0.5000 0.0000 0.5000
Nb 0.5000 0.5000 0.0000
Nb 0.5000 0.5000 0.5000
O 0.1637 0.1637 0.1637
O 0.1903 0.5600 0.5600
O 0.1907 0.1907 0.5679
O 0.1907 0.5679 0.1907
O 0.4321 0.8093 0.8093
O 0.4400 0.4400 0.8097
O 0.4400 0.8097 0.4400
O 0.5600 0.1903 0.5600
O 0.5600 0.5600 0.1903
O 0.5679 0.1907 0.1907
O 0.8093 0.4321 0.8093
O 0.8093 0.8093 0.4321
O 0.8097 0.4400 0.4400
O 0.8363 0.8363 0.8363


4.
Structure and simulated PXRD pattern of Ba5Nb2O10 (a PBE-relaxed structure; Cu Kα (λ = 1.5418 Å)).
Neutral-atom scattering factors, no anomalous dispersion.

Main lines, sorted by position (5° ≤ 2θ ≤ 70°):
- 25.37°, I 31
- 25.57°, I 43
- 28.58°, I 100
- 29.11°, I 57
- 29.32°, I 19
- 29.49°, I 50
- 38.99°, I 36
- 41.28°, I 24
- 41.79°, I 20
- 51.28°, I 32

Atomic structure:
abc: 6.2490 6.2490 18.3778
angles: 90.00 90.00 121.20
Fractional coordinates of all 34 atoms:
Ba 0.0036 0.9964 0.5000
Ba 0.0052 0.9948 0.2683
Ba 0.3126 0.6874 0.1092
Ba 0.3182 0.6818 0.8856
Ba 0.3466 0.6534 0.6593
Ba 0.6534 0.3466 0.1593
Ba 0.6818 0.3182 0.3856
Ba 0.6874 0.3126 0.6092
Ba 0.9948 0.0052 0.7683
Ba 0.9964 0.0036 0.0000
Nb 0.3326 0.6674 0.4634
Nb 0.3442 0.6558 0.3011
Nb 0.6558 0.3442 0.8011
Nb 0.6674 0.3326 0.9634
O 0.0017 0.5452 0.5060
O 0.0572 0.4641 0.2398
O 0.0770 0.9230 0.1329
O 0.1787 0.3724 0.3896
O 0.1944 0.8056 0.3661
O 0.3724 0.1787 0.8896
O 0.4548 0.9983 0.5060
O 0.4641 0.0572 0.7398
O 0.4671 0.5329 0.5293
O 0.4807 0.5193 0.7709
O 0.5193 0.4807 0.2709
O 0.5329 0.4671 0.0293
O 0.5359 0.9428 0.2398
O 0.5452 0.0017 0.0060
O 0.6276 0.8213 0.3896
O 0.8056 0.1944 0.8661
O 0.8213 0.6276 0.8896
O 0.9230 0.0770 0.6329
O 0.9428 0.5359 0.7398
O 0.9983 0.4548 0.0060


5.
Structure and simulated PXRD pattern of BaNb4O6 (a PBE-relaxed structure; Cu Kα (λ = 1.5418 Å)).
Neutral-atom scattering factors, no anomalous dispersion.

Main lines, sorted by position (5° ≤ 2θ ≤ 70°):
- 23.55°, I 18
- 30.10°, I 100
- 31.73°, I 83
- 36.96°, I 13
- 42.66°, I 67
- 43.50°, I 31
- 44.50°, I 38
- 53.09°, I 39
- 61.91°, I 21
- 62.56°, I 40

Atomic structure:
abc: 4.2393 4.2393 8.3209
angles: 90.00 90.00 90.00
Fractional coordinates of all 11 atoms:
Ba 0.0000 0.0000 0.0000
Nb 0.0000 0.5000 0.5000
Nb 0.5000 0.0000 0.5000
Nb 0.5000 0.5000 0.2536
Nb 0.5000 0.5000 0.7464
O 0.0000 0.0000 0.5000
O 0.0000 0.5000 0.2436
O 0.0000 0.5000 0.7564
O 0.5000 0.0000 0.2436
O 0.5000 0.0000 0.7564
O 0.5000 0.5000 0.0000


6.
Structure and simulated PXRD pattern of Ba4Nb2O9 (a PBE-relaxed structure; Cu Kα (λ = 1.5418 Å)).
Neutral-atom scattering factors, no anomalous dispersion.

Main lines, sorted by position (5° ≤ 2θ ≤ 70°):
- 10.56°, I 18
- 27.04°, I 100
- 28.90°, I 99
- 39.99°, I 50
- 43.71°, I 15
- 50.09°, I 36
- 51.22°, I 29
- 52.83°, I 15
- 59.89°, I 20
- 66.90°, I 16

Atomic structure:
abc: 6.1779 6.1779 16.7488
angles: 90.00 90.00 120.00
Fractional coordinates of all 30 atoms:
Ba 0.0000 0.0000 0.0000
Ba 0.0000 0.0000 0.2500
Ba 0.0000 0.0000 0.5000
Ba 0.0000 0.0000 0.7500
Ba 0.3333 0.6667 0.1362
Ba 0.3333 0.6667 0.3638
Ba 0.6667 0.3333 0.6362
Ba 0.6667 0.3333 0.8638
Nb 0.3333 0.6667 0.6588
Nb 0.3333 0.6667 0.8412
Nb 0.6667 0.3333 0.1588
Nb 0.6667 0.3333 0.3412
O 0.0432 0.5745 0.7500
O 0.1059 0.3565 0.6080
O 0.1059 0.3565 0.8920
O 0.2506 0.8941 0.6080
O 0.2506 0.8941 0.8920
O 0.3565 0.2506 0.1080
O 0.3565 0.2506 0.3920
O 0.4255 0.4687 0.7500
O 0.4687 0.0432 0.2500
O 0.5313 0.9568 0.7500
O 0.5745 0.5313 0.2500
O 0.6435 0.7494 0.6080
O 0.6435 0.7494 0.8920
O 0.7494 0.1059 0.1080
O 0.7494 0.1059 0.3920
O 0.8941 0.6435 0.1080
O 0.8941 0.6435 0.3920
O 0.9568 0.4255 0.2500


7.
Structure and simulated PXRD pattern of Ba2Nb3O10 (a PBE-relaxed structure; Cu Kα (λ = 1.5418 Å)).
Neutral-atom scattering factors, no anomalous dispersion.

Main lines, sorted by position (5° ≤ 2θ ≤ 70°):
- 26.58°, I 61
- 26.78°, I 87
- 26.93°, I 100
- 27.87°, I 88
- 29.02°, I 35
- 40.67°, I 57
- 48.83°, I 28
- 50.13°, I 31
- 51.09°, I 27
- 54.07°, I 27

Atomic structure:
abc: 10.0846 10.0846 8.1386
angles: 111.57 111.57 35.53
Fractional coordinates of all 30 atoms:
Ba 0.1144 0.1144 0.2168
Ba 0.2113 0.2113 0.8156
Ba 0.7887 0.7887 0.1844
Ba 0.8856 0.8856 0.7832
Nb 0.2445 0.7555 0.5000
Nb 0.3176 0.3176 0.4778
Nb 0.4124 0.4124 0.0343
Nb 0.5876 0.5876 0.9657
Nb 0.6824 0.6824 0.5222
Nb 0.7555 0.2445 0.5000
O 0.0000 0.5000 0.5000
O 0.0212 0.0212 0.6727
O 0.1127 0.5949 0.0296
O 0.1613 0.6278 0.4873
O 0.2670 0.2670 0.2339
O 0.3117 0.6883 0.0000
O 0.3623 0.3623 0.7608
O 0.3722 0.8387 0.5127
O 0.4051 0.8873 0.9704
O 0.4724 0.4724 0.3176
O 0.5000 0.0000 0.5000
O 0.5276 0.5276 0.6824
O 0.5949 0.1127 0.0296
O 0.6278 0.1613 0.4873
O 0.6377 0.6377 0.2392
O 0.6883 0.3117 0.0000
O 0.7330 0.7330 0.7661
O 0.8387 0.3722 0.5127
O 0.8873 0.4051 0.9704
O 0.9788 0.9788 0.3273


8.
Structure and simulated PXRD pattern of Ba3Nb4O12 (a PBE-relaxed structure; Cu Kα (λ = 1.5418 Å)).
Neutral-atom scattering factors, no anomalous dispersion.

Main lines, sorted by position (5° ≤ 2θ ≤ 70°):
- 15.26°, I 20
- 26.58°, I 9
- 30.79°, I 100
- 34.53°, I 5
- 37.95°, I 3
- 41.12°, I 7
- 44.10°, I 34
- 54.75°, I 40
- 57.19°, I 4
- 64.14°, I 20

Atomic structure:
abc: 7.1130 7.1130 7.1130
angles: 109.47 109.47 109.47
Fractional coordinates of all 19 atoms:
Ba 0.0000 0.5000 0.5000
Ba 0.5000 0.0000 0.5000
Ba 0.5000 0.5000 0.0000
Nb 0.0000 0.0000 0.5000
Nb 0.0000 0.5000 0.0000
Nb 0.5000 0.0000 0.0000
Nb 0.5000 0.5000 0.5000
O 0.0000 0.2542 0.7458
O 0.0000 0.7458 0.2542
O 0.2542 0.0000 0.7458
O 0.2542 0.2542 0.5083
O 0.2542 0.5083 0.2542
O 0.2542 0.7458 0.0000
O 0.4917 0.7458 0.7458
O 0.5083 0.2542 0.2542
O 0.7458 0.0000 0.2542
O 0.7458 0.2542 0.0000
O 0.7458 0.4917 0.7458
O 0.7458 0.7458 0.4917